Diffraction record for Tb2Ni12As7. The X-ray powder pattern is theoretical, not measured: it uses a crystal structure in the Materials Project, relaxed with PBE and Cu Kα, 1.54184 Å.
No peak broadening, texture or thermal motion is included.

Principal peaks in the range 2θ from 10° to 90°, in order of rising 2θ:
2.790 Å, rel. 15, (2 0 1)
2.699 Å, rel. 13, (3 0 0)
2.396 Å, rel. 100, (1 2 1)
2.024 Å, rel. 10, (4 0 0)
1.940 Å, rel. 20, (3 1 1)
1.926 Å, rel. 26, (0 0 2)
1.767 Å, rel. 23, (4 1 0)
1.673 Å, rel. 17, (2 3 1)
1.302 Å, rel. 16, (4 1 2)
1.184 Å, rel. 10, (1 2 3)

Structure:
Cell lengths 9.3507, 9.3507, 3.8511 Å; angles 90.00, 90.00, 120.00 degrees
Atoms (fractional coordinates):
Tb 0.0000 0.0000 0.0000
Tb 0.3333 0.6667 0.5000
Ni 0.0437 0.7581 0.5000
Ni 0.1068 0.3893 0.0000
Ni 0.2419 0.2856 0.5000
Ni 0.2826 0.8932 0.0000
Ni 0.3872 0.2045 0.0000
Ni 0.5511 0.1220 0.5000
Ni 0.5708 0.4489 0.5000
Ni 0.6107 0.7174 0.0000
Ni 0.7144 0.9563 0.5000
Ni 0.7955 0.1827 0.0000
Ni 0.8173 0.6128 0.0000
Ni 0.8780 0.4292 0.5000
As 0.0691 0.6181 0.0000
As 0.2601 0.0354 0.5000
As 0.3819 0.4510 0.0000
As 0.5490 0.9309 0.0000
As 0.6667 0.3333 0.0000
As 0.7753 0.7399 0.5000
As 0.9646 0.2247 0.5000